1.
# Tb5Tm12Th2
Computed X-ray diffraction stick pattern, Cu Kα (λ = 1.5418 Å). Input: a cell relaxed with PBE.

Main lines, sorted by position (10 to 90 degrees two-theta):
h k l, two_theta, d [Å], I (rel.)
0 3 2, 28.9, 3.084, 32
2 1 1, 31.0, 2.889, 60
1 0 -3, 31.6, 2.832, 100
0 3 3, 32.2, 2.784, 64
2 1 2, 32.4, 2.763, 51
1 -2 2, 32.7, 2.739, 57
1 1 4, 33.7, 2.659, 51
1 3 0, 34.0, 2.637, 68
-2 2 1, 36.1, 2.486, 40
2 4 4, 51.2, 1.785, 25

Structure:
Cell: 6.0247 9.5260 11.2035 Å, 69.93 81.95 88.73°
Space group P-1 (No. 2)
Asymmetric unit:
Tb  0.0000  0.0000  0.0000 x1
Tb  0.1053  0.9558  0.3425 x2
Tb  0.4904  0.5517  0.8312 x2
Tm  0.0358  0.6874  0.6556 x2
Tm  0.0778  0.3119  0.0441 x2
Tm  0.1743  0.3197  0.7257 x2
Tm  0.3798  0.9114  0.7856 x2
Tm  0.4232  0.8161  0.1015 x2
Tm  0.4307  0.1875  0.4848 x2
Th  0.2762  0.5671  0.4194 x2

2.
# Th8HgGe3Te4
Computed X-ray diffraction stick pattern, Cu Kα (λ = 1.5418 Å). Input: a cell relaxed with PBE.

Main lines, sorted by position (10 to 90 degrees two-theta):
h k l, two_theta, d [Å], I (rel.)
2 0 2, 24.7, 3.601, 14
0 2 4, 28.6, 3.125, 100
2 0 8, 40.7, 2.217, 35
2 2 0, 41.0, 2.203, 40
4 0 4, 50.7, 1.800, 21
0 4 8, 59.1, 1.563, 12
2 2 12, 66.7, 1.401, 14
2 4 4, 67.1, 1.394, 18
4 2 8, 74.4, 1.275, 12
6 0 0, 74.6, 1.272, 7

Structure:
Cell: 8.8106 8.8106 21.7985 Å, 90.00 90.00 120.00°
Space group R-3m (No. 166, hexagonal axes)
Asymmetric unit:
Th  0.0000  0.0000  0.2390 x6
Th  0.0086  0.5043  0.7588 x18
Hg  0.0000  0.0000  0.5000 x3
Ge  0.0000  0.5000  0.5000 x9
Te  0.0000  0.0000  0.0000 x3
Te  0.0000  0.5000  0.0000 x9

3.
# LuZnRuRh
Computed X-ray diffraction stick pattern, Cu Kα (λ = 1.5418 Å). Input: a cell relaxed with PBE.

Main lines, sorted by position (10 to 90 degrees two-theta):
h k l, two_theta, d [Å], I (rel.)
1 1 1, 24.2, 3.673, 12
2 0 0, 28.1, 3.181, 1
2 2 0, 40.1, 2.249, 100
3 1 1, 47.4, 1.918, 6
4 0 0, 58.0, 1.591, 17
3 3 1, 63.8, 1.460, 3
4 2 2, 72.8, 1.299, 33
5 1 1, 78.0, 1.224, 2
4 4 0, 86.5, 1.125, 11

Structure:
Cell: 6.3621 6.3621 6.3621 Å, 90.00 90.00 90.00°
Space group F-43m (No. 216)
Asymmetric unit:
Lu  0.0000  0.0000  0.0000 x4
Zn  0.0000  0.0000  0.5000 x4
Ru  0.2500  0.2500  0.2500 x4
Rh  0.2500  0.2500  0.7500 x4

4.
# SrBi5Rh3
Computed X-ray diffraction stick pattern, Cu Kα (λ = 1.5418 Å). Input: a cell relaxed with PBE.

Main lines, sorted by position (10 to 90 degrees two-theta):
h k l, two_theta, d [Å], I (rel.)
2 0 -2, 19.2, 4.615, 36
2 2 -2, 28.0, 3.186, 43
0 0 3, 28.6, 3.117, 50
4 0 -1, 28.8, 3.097, 56
2 2 1, 29.4, 3.040, 100
3 1 -3, 30.8, 2.905, 35
3 3 0, 38.7, 2.329, 43
4 0 2, 43.1, 2.101, 34
1 3 -4, 47.9, 1.899, 37
5 3 -2, 48.1, 1.892, 33

Structure:
Cell: 12.4412 8.8078 10.1676 Å, 90.00 113.10 90.00°
Space group C2/m (No. 12)
Asymmetric unit:
Sr  0.1081  0.0000  0.3024 x4
Bi  0.0000  0.3040  0.0000 x4
Bi  0.0863  0.5000  0.3871 x4
Bi  0.1661  0.2036  0.6495 x8
Bi  0.2294  0.0000  0.0218 x4
Rh  0.0000  0.0000  0.0000 x2
Rh  0.0000  0.0000  0.5000 x2
Rh  0.1467  0.5000  0.6959 x4
Rh  0.1687  0.5000  0.1714 x4

5.
# Te6Mo7
Computed X-ray diffraction stick pattern, Cu Kα (λ = 1.5418 Å). Input: a cell relaxed with PBE.

Main lines, sorted by position (10 to 90 degrees two-theta):
h k l, two_theta, d [Å], I (rel.)
0 0 6, 14.7, 6.045, 40
1 0 7, 25.6, 3.478, 60
1 1 0, 33.1, 2.710, 69
1 1 6, 36.3, 2.473, 36
0 2 4, 39.7, 2.271, 66
1 1 9, 40.1, 2.249, 100
0 2 7, 42.3, 2.138, 50
2 0 11, 47.6, 1.912, 48
1 1 21, 63.9, 1.457, 53
2 2 0, 69.4, 1.355, 38

Structure:
Cell: 5.4193 5.4193 36.2702 Å, 90.00 90.00 120.00°
Space group R-3m (No. 166, hexagonal axes)
Asymmetric unit:
Te  0.0000  0.0000  0.0687 x6
Te  0.0000  0.0000  0.1733 x6
Te  0.0000  0.0000  0.3665 x6
Mo  0.0000  0.0000  0.5000 x3
Mo  0.0030  0.5015  0.9035 x18

6.
# Tb4Pr2HoEr2
Computed X-ray diffraction stick pattern, Cu Kα (λ = 1.5418 Å). Input: a cell relaxed with PBE.

Main lines, sorted by position (10 to 90 degrees two-theta):
h k l, two_theta, d [Å], I (rel.)
2 1 1, 29.7, 3.005, 41
0 2 1, 31.2, 2.867, 58
1 -1 2, 31.6, 2.828, 100
1 1 3, 32.4, 2.764, 93
2 0 1, 32.7, 2.741, 14
2 -1 0, 42.5, 2.129, 16
2 3 2, 44.8, 2.024, 13
0 1 -4, 48.1, 1.892, 17
1 3 4, 56.7, 1.622, 18
0 1 5, 58.4, 1.579, 19

Structure:
Cell: 6.0182 6.6236 8.5814 Å, 79.95 70.63 65.71°
Space group P-1 (No. 2)
Asymmetric unit:
Tb  0.1157  0.1251  0.2634 x2
Tb  0.2427  0.5732  0.3856 x2
Pr  0.2292  0.3244  0.8415 x2
Ho  0.5000  0.0000  0.5000 x1
Er  0.3246  0.7690  0.9442 x2

7.
# CaZr2Ir
Computed X-ray diffraction stick pattern, Cu Kα (λ = 1.5418 Å). Input: a cell relaxed with PBE.

Main lines, sorted by position (10 to 90 degrees two-theta):
h k l, two_theta, d [Å], I (rel.)
1 1 1, 22.4, 3.977, 29
2 0 0, 25.9, 3.444, 1
2 2 0, 36.9, 2.435, 100
3 1 1, 43.6, 2.077, 16
4 0 0, 53.2, 1.722, 17
3 3 1, 58.4, 1.580, 7
4 2 2, 66.5, 1.406, 35
5 1 1, 71.1, 1.326, 5
4 4 0, 78.6, 1.218, 11
5 3 1, 82.9, 1.164, 5

Structure:
Cell: 6.8886 6.8886 6.8886 Å, 90.00 90.00 90.00°
Space group Fm-3m (No. 225)
Asymmetric unit:
Ca  0.0000  0.0000  0.0000 x4
Zr  0.2500  0.2500  0.2500 x8
Ir  0.0000  0.0000  0.5000 x4

8.
# Rb5AuIO2
Computed X-ray diffraction stick pattern, Cu Kα (λ = 1.5418 Å). Input: a cell relaxed with PBE.

Main lines, sorted by position (10 to 90 degrees two-theta):
h k l, two_theta, d [Å], I (rel.)
1 0 0, 15.2, 5.827, 18
1 0 1, 17.8, 4.988, 40
1 1 2, 28.5, 3.133, 100
2 0 0, 30.7, 2.913, 57
2 1 1, 35.7, 2.516, 14
0 0 4, 37.3, 2.413, 9
2 2 0, 44.0, 2.060, 21
2 0 4, 49.0, 1.858, 17
3 1 2, 53.2, 1.721, 35
2 2 4, 59.0, 1.567, 10

Structure:
Cell: 5.8269 5.8269 9.6508 Å, 90.00 90.00 90.00°
Space group P4/mmm (No. 123)
Asymmetric unit:
Rb  0.0000  0.0000  0.0000 x1
Rb  0.0000  0.5000  0.2933 x4
Au  0.0000  0.0000  0.5000 x1
I  0.5000  0.5000  0.0000 x1
O  0.0000  0.0000  0.2860 x2

9.
# ErGa4Ru3
Computed X-ray diffraction stick pattern, Cu Kα (λ = 1.5418 Å). Input: a cell relaxed with PBE.

Main lines, sorted by position (10 to 90 degrees two-theta):
h k l, two_theta, d [Å], I (rel.)
2 0 1, 28.7, 3.110, 7
2 2 1, 40.1, 2.246, 100
0 0 2, 40.9, 2.205, 25
4 0 0, 41.2, 2.193, 25
0 4 0, 56.7, 1.624, 7
4 0 2, 59.4, 1.555, 16
4 4 0, 72.4, 1.305, 7
2 2 3, 74.0, 1.281, 15
6 2 1, 74.3, 1.276, 16
4 4 2, 86.7, 1.123, 9

Structure:
Cell: 8.7730 6.4951 4.4090 Å, 90.00 90.00 90.00°
Space group Pmma (No. 51)
Asymmetric unit:
Er  0.0000  0.0000  0.0000 x2
Ga  0.0000  0.2830  0.5000 x4
Ga  0.2500  0.2844  0.0081 x4
Ru  0.0000  0.5000  0.0000 x2
Ru  0.2500  0.0000  0.4658 x2
Ru  0.2500  0.5000  0.5100 x2

10.
# NdYPd
Computed X-ray diffraction stick pattern, Cu Kα (λ = 1.5418 Å). Input: a cell relaxed with PBE.

Main lines, sorted by position (10 to 90 degrees two-theta):
h k l, two_theta, d [Å], I (rel.)
0 2 0, 29.6, 3.015, 41
1 1 2, 30.1, 2.965, 57
1 2 1, 31.8, 2.815, 100
1 0 2, 32.1, 2.786, 95
0 1 -2, 32.6, 2.743, 45
0 2 -1, 34.9, 2.570, 43
1 2 2, 35.2, 2.551, 83
0 2 2, 35.3, 2.540, 56
1 0 -2, 39.7, 2.270, 52
2 1 1, 46.9, 1.939, 45

Structure:
Cell: 3.8779 6.4600 7.2657 Å, 74.29 74.55 72.61°
Space group P-1 (No. 2)
Asymmetric unit:
Nd  0.1601  0.2497  0.4307 x2
Y  0.4097  0.2988  0.8816 x2
Pd  0.1332  0.9096  0.8243 x2

11.
# NbV6Mo2W2
Computed X-ray diffraction stick pattern, Cu Kα (λ = 1.5418 Å). Input: a cell relaxed with PBE.

Main lines, sorted by position (10 to 90 degrees two-theta):
h k l, two_theta, d [Å], I (rel.)
0 0 3, 12.4, 7.123, 44
1 1 0, 33.9, 2.643, 100
1 1 3, 36.2, 2.478, 90
0 0 9, 37.9, 2.374, 49
0 1 8, 39.0, 2.307, 29
0 2 1, 39.6, 2.276, 56
1 1 6, 42.6, 2.123, 33
0 2 7, 49.8, 1.832, 37
2 0 8, 52.7, 1.738, 49
2 2 0, 71.4, 1.322, 32

Structure:
Cell: 5.2870 5.2870 21.3699 Å, 90.00 90.00 120.00°
Space group R-3m (No. 166, hexagonal axes)
Asymmetric unit:
Nb  0.0000  0.0000  0.0000 x3
V  0.0019  0.5010  0.5558 x18
Mo  0.0000  0.0000  0.4397 x6
W  0.0000  0.0000  0.3158 x6

12.
# NdNb2N4
Computed X-ray diffraction stick pattern, Cu Kα (λ = 1.5418 Å). Input: a cell relaxed with PBE.

Main lines, sorted by position (10 to 90 degrees two-theta):
h k l, two_theta, d [Å], I (rel.)
1 1 1, 30.5, 2.934, 42
0 2 3, 30.7, 2.908, 100
1 1 2, 33.9, 2.643, 48
0 4 0, 34.6, 2.595, 33
1 3 1, 39.3, 2.292, 41
1 3 2, 42.1, 2.145, 35
1 1 5, 52.8, 1.734, 24
1 5 2, 55.6, 1.653, 17
1 3 5, 58.9, 1.568, 17
2 2 3, 66.8, 1.401, 21

Structure:
Cell: 3.1968 10.3809 10.5342 Å, 90.00 90.00 90.00°
Space group Cmcm (No. 63)
Asymmetric unit:
Nd  0.0000  0.1155  0.2500 x4
Nb  0.0000  0.3707  0.0653 x8
N  0.0000  0.0000  0.0000 x4
N  0.0000  0.2663  0.6102 x8
N  0.0000  0.4330  0.2500 x4

13.
# SrZr3Au4O12
Computed X-ray diffraction stick pattern, Cu Kα (λ = 1.5418 Å). Input: a cell relaxed with PBE.

Main lines, sorted by position (10 to 90 degrees two-theta):
h k l, two_theta, d [Å], I (rel.)
1 1 0, 15.2, 5.840, 57
2 1 1, 25.8, 3.458, 56
3 0 0, 26.4, 3.372, 100
2 0 2, 28.2, 3.162, 78
1 3 1, 33.8, 2.651, 35
1 1 3, 36.7, 2.451, 51
0 3 3, 42.9, 2.108, 27
2 3 2, 45.0, 2.014, 38
2 2 3, 45.8, 1.983, 19
5 0 2, 50.4, 1.810, 32

Structure:
Cell: 11.6808 11.6808 8.1028 Å, 90.00 90.00 120.00°
Space group R32 (No. 155, hexagonal axes)
Asymmetric unit:
Sr  0.0000  0.0000  0.0000 x3
Zr  0.0000  0.5663  0.0000 x9
Au  0.0000  0.0000  0.5000 x3
Au  0.0000  0.3776  0.5000 x9
O  0.0000  0.6134  0.5000 x9
O  0.0000  0.8288  0.5000 x9
O  0.0566  0.1956  0.2057 x18